Diffraction record for Tb3ErBi4. The powder XRD pattern is calculated, not measured: it uses a PBE-relaxed structure and a wavelength of 1.5418 Å.

Most intense lines, 5° ≤ 2θ ≤ 70°, sorted by position:
24.34°, d 3.657, intensity 3, (2 2 0); 28.18°, d 3.167, intensity 100, (2 0 1); 40.27°, d 2.239, intensity 78, (4 0 0); 49.88°, d 1.828, intensity 28, (4 4 0); 58.27°, d 1.583, intensity 13, (4 0 2); 65.96°, d 1.416, intensity 37, (6 0 1)

Crystal structure
Lattice parameters (Å, degrees): 8.955 12.664 4.481 90.00 90.00 90.00
Space group Cmmm (No. 65)
Unique sites:
1 Tb 0.000 0.000 0.000 (multiplicity 2)
2 Tb 0.250 0.250 0.500 (multiplicity 4)
3 Er 0.000 0.500 0.000 (multiplicity 2)
4 Bi 0.000 0.251 0.000 (multiplicity 4)
5 Bi 0.248 0.500 0.500 (multiplicity 4)

***

Diffraction record for Er3Al4Zn2. The powder XRD pattern is calculated, not measured: it uses a PBE-relaxed structure and a wavelength of 1.5418 Å.

Most intense lines, 5° ≤ 2θ ≤ 70°, sorted by position:
22.82°, d 3.897, intensity 17, (2 0 -2); 22.89°, d 3.885, intensity 33, (1 1 -1); 34.49°, d 2.601, intensity 100, (4 0 -1); 40.12°, d 2.248, intensity 32, (3 1 -3); 40.24°, d 2.241, intensity 16, (0 2 0); 54.00°, d 1.698, intensity 19, (4 2 -1)

Crystal structure
Lattice parameters (Å, degrees): 10.476 4.482 8.540 90.00 113.93 90.00
Space group C2/m (No. 12)
Unique sites:
1 Er 0.000 0.000 0.000 (multiplicity 2)
2 Er 0.168 0.500 0.664 (multiplicity 4)
3 Al 0.049 0.000 0.381 (multiplicity 4)
4 Al 0.227 0.500 0.064 (multiplicity 4)
5 Zn 0.110 0.500 0.278 (multiplicity 4)

***

Diffraction record for Hf2Zr7Sc. The powder XRD pattern is calculated, not measured: it uses a PBE-relaxed structure and a wavelength of 1.5418 Å.

Most intense lines, 5° ≤ 2θ ≤ 70°, sorted by position:
11.86°, d 7.459, intensity 25, (0 0 1); 30.92°, d 2.892, intensity 21, (0 2 -2); 34.41°, d 2.607, intensity 68, (1 -2 1); 35.15°, d 2.553, intensity 100, (1 0 2); 36.42°, d 2.467, intensity 46, (2 0 -1); 53.21°, d 1.721, intensity 18, (-2 2 2)

Crystal structure
Lattice parameters (Å, degrees): 4.934 6.275 8.445 111.60 106.87 90.01
Space group P-1 (No. 2)
Unique sites:
1 Hf 0.203 0.204 0.405 (multiplicity 2)
2 Zr 0.000 0.000 0.000 (multiplicity 1)
3 Zr 0.202 0.703 0.403 (multiplicity 2)
4 Zr 0.396 0.141 0.791 (multiplicity 2)
5 Zr 0.396 0.648 0.791 (multiplicity 2)
6 Sc 0.000 0.500 0.000 (multiplicity 1)

***

Diffraction record for TaOs5. The powder XRD pattern is calculated, not measured: it uses a PBE-relaxed structure and a wavelength of 1.5418 Å.

Most intense lines, 5° ≤ 2θ ≤ 70°, sorted by position:
37.20°, d 2.417, intensity 24, (0 0 6); 40.91°, d 2.206, intensity 25, (2 0 0); 42.65°, d 2.120, intensity 100, (1 1 3); 56.47°, d 1.629, intensity 15, (2 0 6); 67.06°, d 1.396, intensity 18, (0 2 0)

Crystal structure
Lattice parameters (Å, degrees): 4.412 2.794 14.492 90.00 90.00 90.00
Space group Amm2 (No. 38)
Unique sites:
1 Ta 0.000 0.000 0.000 (multiplicity 2)
2 Os 0.000 0.000 0.330 (multiplicity 2)
3 Os 0.000 0.000 0.671 (multiplicity 2)
4 Os 0.500 0.000 0.221 (multiplicity 2)
5 Os 0.500 0.000 0.557 (multiplicity 2)
6 Os 0.500 0.000 0.887 (multiplicity 2)

***

Diffraction record for Ce3PrSm2Bi6. The powder XRD pattern is calculated, not measured: it uses a PBE-relaxed structure and a wavelength of 1.5418 Å.

Most intense lines, 5° ≤ 2θ ≤ 70°, sorted by position:
23.72°, d 3.751, intensity 6, (0 0 2); 27.45°, d 3.249, intensity 100, (1 3 1); 39.22°, d 2.297, intensity 79, (2 0 2); 48.54°, d 1.876, intensity 29, (4 0 0); 56.66°, d 1.624, intensity 14, (2 6 2); 64.09°, d 1.453, intensity 38, (3 3 3)

Crystal structure
Lattice parameters (Å, degrees): 7.958 13.784 7.958 90.00 109.48 90.00
Space group C2/m (No. 12)
Unique sites:
1 Ce 0.000 0.000 0.000 (multiplicity 2)
2 Ce 0.000 0.335 0.000 (multiplicity 4)
3 Pr 0.000 0.500 0.500 (multiplicity 2)
4 Sm 0.000 0.167 0.500 (multiplicity 4)
5 Bi 0.247 0.000 0.750 (multiplicity 4)
6 Bi 0.248 0.168 0.249 (multiplicity 8)

***

Diffraction record for Pr7Nd4Hg. The powder XRD pattern is calculated, not measured: it uses a PBE-relaxed structure and a wavelength of 1.5418 Å.

Most intense lines, 5° ≤ 2θ ≤ 70°, sorted by position:
29.52°, d 3.026, intensity 100, (1 0 4); 30.50°, d 2.931, intensity 26, (0 0 12); 34.51°, d 2.599, intensity 60, (0 1 8); 48.96°, d 1.860, intensity 26, (1 1 0); 58.21°, d 1.585, intensity 15, (0 2 4); 58.79°, d 1.571, intensity 22, (1 1 12)

Crystal structure
Lattice parameters (Å, degrees): 3.7210 3.7210 35.1701 90.00 90.00 120.00
Space group P-3m1 (No. 164)
Unique sites:
1 Pr 0.0000 0.0000 0.0000 (multiplicity 1)
2 Pr 0.0000 0.0000 0.2575 (multiplicity 2)
3 Pr 0.3333 0.6667 0.1714 (multiplicity 2)
4 Pr 0.3333 0.6667 0.4283 (multiplicity 2)
5 Nd 0.3333 0.6667 0.6565 (multiplicity 2)
6 Nd 0.3333 0.6667 0.9143 (multiplicity 2)
7 Hg 0.0000 0.0000 0.5000 (multiplicity 1)

***

Diffraction record for LiGa6Pd2. The powder XRD pattern is calculated, not measured: it uses a PBE-relaxed structure and a wavelength of 1.5418 Å.

Most intense lines, 5° ≤ 2θ ≤ 70°, sorted by position:
20.66°, d 4.299, intensity 37, (1 0 0); 31.77°, d 2.816, intensity 38, (0 2 2); 36.15°, d 2.485, intensity 70, (1 2 1); 37.39°, d 2.405, intensity 75, (1 0 -4); 43.00°, d 2.103, intensity 100, (0 3 2); 45.18°, d 2.007, intensity 53, (1 3 -2)

Crystal structure
Lattice parameters (Å, degrees): 4.544 7.059 9.876 90.00 108.89 90.00
Space group P2_1/c (No. 14)
Unique sites:
1 Li 0.000 0.000 0.000 (multiplicity 2)
2 Ga 0.180 0.043 0.274 (multiplicity 4)
3 Ga 0.186 0.638 0.079 (multiplicity 4)
4 Ga 0.452 0.243 0.590 (multiplicity 4)
5 Pd 0.392 0.095 0.839 (multiplicity 4)